1.
This entry pairs a crystal structure of Mg4Si7 with its simulated X-ray powder pattern. Radiation: λ = 1.5418 Å (Cu Kα). Structure: DFT lattice parameters and positions (PBE).
Lines closer than 0.1° are merged.

Cell and atoms:
```
data_Mg4Si7
_chemical_formula_sum 'Mg16 Si28'
_symmetry_space_group_name_H-M 'C 1 m 1'
_symmetry_Int_Tables_number 8
_symmetry_space_group_name_Hall 'C -2y'
_cell_length_a 29.6682
_cell_length_b 3.9626
_cell_length_c 6.7415
_cell_angle_alpha 90.00
_cell_angle_beta 92.04
_cell_angle_gamma 90.00
loop_
_atom_site_label
_atom_site_fract_x
_atom_site_fract_y
_atom_site_fract_z
Mg1 0.0000 0.0000 0.0000
Mg2 0.0351 0.0000 0.4797
Mg3 0.0769 0.5000 0.1654
Mg4 0.1122 0.0000 0.8571
Mg5 0.1514 0.0000 0.3610
Mg6 0.2397 0.5000 0.3662
Mg7 0.2854 0.5000 0.8847
Mg8 0.4303 0.5000 0.3953
Si1 0.0411 0.5000 0.7865
Si2 0.1009 0.5000 0.5533
Si3 0.1697 0.5000 0.0594
Si4 0.1764 0.5000 0.6925
Si5 0.2236 0.0000 0.0566
Si6 0.2270 0.0000 0.6856
Si7 0.3017 0.0000 0.1982
Si8 0.3041 0.0000 0.5650
Si9 0.3507 0.5000 0.5785
Si10 0.3545 0.5000 0.1747
Si11 0.4110 0.0000 0.0716
Si12 0.4158 0.5000 0.8113
Si13 0.4634 0.0000 0.6538
Si14 0.4835 0.0000 0.2794
```

Top 10 peaks for 2θ = 10–90°, low angle first:
h k l  2θ/deg  Rel. int.
7 1 -1  33.41  76
1 1 -2  35.01  32
3 1 2  36.40  46
5 1 -2  37.82  100
9 1 1  38.30  64
11 1 0  40.47  51
4 0 -3  41.62  30
4 0 3  42.47  37
0 2 0  45.80  82
4 2 3  64.22  23

2.
This entry pairs a crystal structure of Mg5Si6 with its simulated X-ray powder pattern. Radiation: λ = 1.5418 Å (Cu Kα). Structure: DFT lattice parameters and positions (PBE).
Lines closer than 0.1° are merged.

Cell and atoms:
```
data_Mg5Si6
_chemical_formula_sum 'Mg10 Si12'
_symmetry_space_group_name_H-M 'P 1'
_symmetry_Int_Tables_number 1
_symmetry_space_group_name_Hall 'P 1'
_cell_length_a 4.3162
_cell_length_b 8.5329
_cell_length_c 11.7036
_cell_angle_alpha 91.38
_cell_angle_beta 100.00
_cell_angle_gamma 92.72
loop_
_atom_site_label
_atom_site_fract_x
_atom_site_fract_y
_atom_site_fract_z
Mg1 0.0000 0.0000 0.0000
Mg2 0.0032 0.3768 0.0239
Mg3 0.1839 0.0098 0.3962
Mg4 0.4182 0.5091 0.8181
Mg5 0.5772 0.8825 0.1981
Mg6 0.5977 0.5096 0.2070
Mg7 0.7085 0.7090 0.4630
Mg8 0.7155 0.2888 0.4327
Mg9 0.8735 0.2171 0.7652
Mg10 0.8910 0.8140 0.7377
Si1 0.0266 0.6857 0.0752
Si2 0.0966 0.7298 0.2896
Si3 0.1086 0.2464 0.2461
Si4 0.2018 0.4804 0.3743
Si5 0.2927 0.4145 0.5780
Si6 0.2968 0.1373 0.6184
Si7 0.4486 0.2262 0.9300
Si8 0.4536 0.9719 0.8291
Si9 0.4864 0.7587 0.9642
Si10 0.5554 0.1848 0.1383
Si11 0.7555 0.0188 0.5535
Si12 0.8373 0.5090 0.6536
```

Top 10 peaks for 2θ = 10–90°, low angle first:
h k l  2θ/deg  Rel. int.
1 0 3  34.12  50
1 -2 2  34.34  37
1 0 -4  34.44  41
0 3 -2  34.76  41
-1 2 3  35.36  53
1 2 -3  35.76  38
1 2 2  36.33  53
0 2 -4  37.13  28
2 0 -1  41.91  100
0 4 0  42.49  38